(1)
# Li2CoC2O6
Calculated XRD peak list, Cu Kα X-rays. Input: the PBE+U geometry in the Materials Project.

Structure:
a = 11.397 Å, b = 16.398 Å, c = 5.387 Å
α = 90.00°, β = 90.00°, γ = 90.00°
Space group Fdd2 (No. 43)
Asymmetric unit:
Li (0.023, 0.335, 0.000) [16 per cell]
Co (0.000, 0.000, 0.968) [8 per cell]
C (0.053, 0.151, 0.035) [16 per cell]
O (0.024, 0.098, 0.206) [16 per cell]
O (0.054, 0.125, 0.807) [16 per cell]
O (0.081, 0.225, 0.097) [16 per cell]

Main lines, in order of falling intensity (2θ from 5° to 70°):
Position (°2θ)	I/Imax	(hkl)
19.0	100	1 1 1
29.3	21	3 1 1
43.2	13	2 4 2
33.3	11	4 2 0
31.4	11	4 0 0
32.9	10	1 5 1
24.5	8	1 3 1
47.4	8	0 6 2
42.8	6	1 7 1
58.0	6	4 6 2

=====

(2)
# Li2CoC2O6
Calculated XRD peak list, Cu Kα X-rays. Input: the PBE+U geometry in the Materials Project.

Structure:
a = 5.183 Å, b = 6.584 Å, c = 7.824 Å
α = 90.17°, β = 90.20°, γ = 112.95°
Space group P1 (No. 1)
Asymmetric unit:
Li (0.000, 0.000, 0.000) [1 per cell]
Li (0.158, 0.904, 0.478) [1 per cell]
Li (0.493, 0.483, 0.339) [1 per cell]
Li (0.704, 0.497, 0.840) [1 per cell]
Co (0.350, 0.741, 0.923) [1 per cell]
Co (0.851, 0.246, 0.426) [1 per cell]
C (0.052, 0.606, 0.185) [1 per cell]
C (0.151, 0.392, 0.682) [1 per cell]
C (0.553, 0.100, 0.164) [1 per cell]
C (0.650, 0.883, 0.661) [1 per cell]
O (0.253, 0.359, 0.538) [1 per cell]
O (0.301, 0.439, 0.820) [1 per cell]
O (0.308, 0.617, 0.180) [1 per cell]
O (0.391, 0.863, 0.665) [1 per cell]
O (0.399, 0.043, 0.028) [1 per cell]
O (0.452, 0.145, 0.306) [1 per cell]
O (0.753, 0.841, 0.803) [1 per cell]
O (0.799, 0.937, 0.524) [1 per cell]
O (0.812, 0.122, 0.167) [1 per cell]
O (0.891, 0.371, 0.681) [1 per cell]
O (0.913, 0.567, 0.328) [1 per cell]
O (0.944, 0.643, 0.044) [1 per cell]

Main lines, in order of falling intensity (2θ from 5° to 70°):
Position (°2θ)	I/Imax	(hkl)
18.5	100	0 1 -1
18.6	77	1 -1 0
21.8	67	1 0 1
37.7	28	2 0 0
31.6	23	0 2 -1
31.7	22	0 2 1
36.5	18	-2 1 1
30.3	17	1 -2 1
41.2	16	1 -3 0
21.9	13	1 -1 1

=====

(3)
# Li3Co2C4O12
Calculated XRD peak list, Cu Kα X-rays. Input: the PBE+U geometry in the Materials Project.

Structure:
a = 5.406 Å, b = 8.424 Å, c = 11.530 Å
α = 88.53°, β = 89.52°, γ = 73.18°
Space group P1 (No. 1)
Asymmetric unit:
Li (0.000, 0.000, 0.000) [1 per cell]
Li (0.008, 0.468, 0.714) [1 per cell]
Li (0.179, 0.645, 0.452) [1 per cell]
Li (0.489, 0.005, 0.501) [1 per cell]
Li (0.521, 0.473, 0.216) [1 per cell]
Li (0.678, 0.641, 0.953) [1 per cell]
Co (0.359, 0.317, 0.979) [1 per cell]
Co (0.408, 0.824, 0.725) [1 per cell]
Co (0.857, 0.313, 0.480) [1 per cell]
Co (0.864, 0.836, 0.221) [1 per cell]
C (0.126, 0.105, 0.674) [1 per cell]
C (0.159, 0.621, 0.039) [1 per cell]
C (0.419, 0.530, 0.781) [1 per cell]
C (0.475, 0.021, 0.917) [1 per cell]
C (0.626, 0.111, 0.172) [1 per cell]
C (0.673, 0.619, 0.537) [1 per cell]
C (0.951, 0.521, 0.285) [1 per cell]
C (0.958, 0.017, 0.416) [1 per cell]
O (0.031, 0.520, 0.010) [1 per cell]
O (0.039, 0.773, 0.067) [1 per cell]
O (0.041, 0.981, 0.705) [1 per cell]
O (0.148, 0.073, 0.438) [1 per cell]
O (0.172, 0.547, 0.291) [1 per cell]
O (0.221, 0.648, 0.742) [1 per cell]
O (0.241, 0.110, 0.939) [1 per cell]
O (0.377, 0.068, 0.668) [1 per cell]
O (0.388, 0.390, 0.811) [1 per cell]
O (0.409, 0.566, 0.037) [1 per cell]
O (0.499, 0.259, 0.147) [1 per cell]
O (0.518, 0.868, 0.879) [1 per cell]
O (0.523, 0.992, 0.195) [1 per cell]
O (0.533, 0.527, 0.506) [1 per cell]
O (0.566, 0.772, 0.569) [1 per cell]
O (0.638, 0.567, 0.786) [1 per cell]
O (0.659, 0.083, 0.937) [1 per cell]
O (0.726, 0.115, 0.434) [1 per cell]
O (0.752, 0.647, 0.250) [1 per cell]
O (0.880, 0.060, 0.175) [1 per cell]
O (0.897, 0.386, 0.310) [1 per cell]
O (0.922, 0.556, 0.536) [1 per cell]
O (0.978, 0.251, 0.651) [1 per cell]
O (0.990, 0.866, 0.379) [1 per cell]

Main lines, in order of falling intensity (2θ from 5° to 70°):
Position (°2θ)	I/Imax	(hkl)
18.8	100	1 0 -1
19.2	71	1 1 -1
19.0	35	1 1 1
28.9	27	1 0 -3
31.0	15	0 0 4
33.3	12	0 1 -4
32.7	12	0 1 4
42.8	10	2 -1 2
29.4	8	1 1 -3
42.6	8	-2 1 2

=====

(4)
# Li3Co2C4O12
Calculated XRD peak list, Cu Kα X-rays. Input: the PBE+U geometry in the Materials Project.

Structure:
a = 6.388 Å, b = 8.593 Å, c = 9.926 Å
α = 107.09°, β = 99.99°, γ = 97.36°
Space group P1 (No. 1)
Asymmetric unit:
Li (0.000, 0.000, 0.000) [1 per cell]
Li (0.082, 0.634, 0.186) [1 per cell]
Li (0.273, 0.167, 0.800) [1 per cell]
Li (0.495, 0.001, 0.504) [1 per cell]
Li (0.595, 0.644, 0.689) [1 per cell]
Li (0.773, 0.184, 0.309) [1 per cell]
Co (0.277, 0.328, 0.341) [1 per cell]
Co (0.408, 0.805, 0.946) [1 per cell]
Co (0.787, 0.327, 0.840) [1 per cell]
Co (0.882, 0.818, 0.431) [1 per cell]
C (0.129, 0.022, 0.307) [1 per cell]
C (0.428, 0.121, 0.099) [1 per cell]
C (0.464, 0.531, 0.905) [1 per cell]
C (0.464, 0.621, 0.398) [1 per cell]
C (0.640, 0.022, 0.816) [1 per cell]
C (0.938, 0.114, 0.599) [1 per cell]
C (0.961, 0.539, 0.410) [1 per cell]
C (0.975, 0.625, 0.904) [1 per cell]
O (0.014, 0.528, 0.981) [1 per cell]
O (0.019, 0.664, 0.529) [1 per cell]
O (0.038, 0.995, 0.618) [1 per cell]
O (0.039, 0.088, 0.216) [1 per cell]
O (0.057, 0.869, 0.298) [1 per cell]
O (0.091, 0.776, 0.945) [1 per cell]
O (0.292, 0.113, 0.408) [1 per cell]
O (0.294, 0.103, 0.981) [1 per cell]
O (0.312, 0.557, 0.285) [1 per cell]
O (0.359, 0.582, 0.805) [1 per cell]
O (0.489, 0.252, 0.210) [1 per cell]
O (0.492, 0.382, 0.882) [1 per cell]
O (0.507, 0.535, 0.482) [1 per cell]
O (0.513, 0.992, 0.112) [1 per cell]
O (0.536, 0.649, 0.028) [1 per cell]
O (0.546, 0.077, 0.717) [1 per cell]
O (0.573, 0.774, 0.430) [1 per cell]
O (0.580, 0.870, 0.814) [1 per cell]
O (0.798, 0.122, 0.916) [1 per cell]
O (0.800, 0.076, 0.474) [1 per cell]
O (0.820, 0.569, 0.792) [1 per cell]
O (0.863, 0.573, 0.299) [1 per cell]
O (0.979, 0.253, 0.699) [1 per cell]
O (0.998, 0.393, 0.402) [1 per cell]

Main lines, in order of falling intensity (2θ from 5° to 70°):
Position (°2θ)	I/Imax	(hkl)
18.8	100	0 1 -2
19.2	72	0 0 2
19.0	35	1 0 1
28.9	27	1 1 -3
32.7	16	2 1 -2
31.0	15	2 0 -2
33.3	13	-2 1 2
29.4	8	1 0 -3
42.5	8	0 3 -4
42.7	8	2 -3 2

=====

(5)
# Li3CoPCO7
Calculated XRD peak list, Cu Kα X-rays. Input: the PBE+U geometry in the Materials Project.

Structure:
a = 5.001 Å, b = 6.431 Å, c = 8.485 Å
α = 90.00°, β = 96.24°, γ = 90.00°
Space group P2_1/m (No. 11)
Asymmetric unit:
Li (0.206, 0.250, 0.104) [2 per cell]
Li (0.268, 0.516, 0.726) [4 per cell]
Co (0.212, 0.750, 0.332) [2 per cell]
P (0.267, 0.250, 0.411) [2 per cell]
C (0.322, 0.750, 0.041) [2 per cell]
O (0.073, 0.750, 0.068) [2 per cell]
O (0.161, 0.062, 0.306) [4 per cell]
O (0.164, 0.250, 0.576) [2 per cell]
O (0.394, 0.750, 0.899) [2 per cell]
O (0.418, 0.750, 0.567) [2 per cell]
O (0.496, 0.250, 0.835) [2 per cell]

Main lines, in order of falling intensity (2θ from 5° to 70°):
Position (°2θ)	I/Imax	(hkl)
27.7	100	0 2 0
10.5	86	0 0 1
21.7	62	1 0 1
19.7	37	1 0 -1
26.2	35	1 0 -2
36.6	32	2 0 -1
17.3	30	0 1 1
41.0	27	1 1 3
57.3	18	0 4 0
25.8	18	1 1 1

=====

(6)
# Li3CoPCO7
Calculated XRD peak list, Cu Kα X-rays. Input: the PBE+U geometry in the Materials Project.

Structure:
a = 5.077 Å, b = 6.527 Å, c = 8.454 Å
α = 90.00°, β = 91.99°, γ = 90.00°
Space group P2_1 (No. 4)
Asymmetric unit:
Li (0.043, 0.000, 0.007) [2 per cell]
Li (0.420, 0.318, 0.810) [2 per cell]
Li (0.441, 0.130, 0.468) [2 per cell]
Co (0.047, 0.785, 0.721) [2 per cell]
P (0.045, 0.775, 0.339) [2 per cell]
C (0.462, 0.285, 0.123) [2 per cell]
O (0.032, 0.086, 0.766) [2 per cell]
O (0.073, 0.460, 0.758) [2 per cell]
O (0.096, 0.251, 0.501) [2 per cell]
O (0.210, 0.265, 0.089) [2 per cell]
O (0.346, 0.800, 0.371) [2 per cell]
O (0.377, 0.823, 0.988) [2 per cell]
O (0.453, 0.762, 0.731) [2 per cell]

Main lines, in order of falling intensity (2θ from 5° to 70°):
Position (°2θ)	I/Imax	(hkl)
27.3	100	0 2 0
17.5	87	1 0 0
21.0	43	0 0 2
17.2	37	0 1 1
35.4	29	2 0 0
27.0	25	1 0 -2
39.6	21	1 1 3
27.9	20	1 0 2
20.1	19	1 0 -1
25.1	18	0 1 2

=====

(7)
# Li3CoPCO7
Calculated XRD peak list, Cu Kα X-rays. Input: the PBE+U geometry in the Materials Project.

Structure:
a = 6.384 Å, b = 8.592 Å, c = 9.820 Å
α = 95.07°, β = 90.05°, γ = 90.04°
Space group P1 (No. 1)
Asymmetric unit:
Li (0.000, 0.000, 0.000) [1 per cell]
Li (0.000, 0.000, 0.500) [1 per cell]
Li (0.213, 0.176, 0.767) [1 per cell]
Li (0.215, 0.174, 0.267) [1 per cell]
Li (0.237, 0.640, 0.991) [1 per cell]
Li (0.237, 0.641, 0.487) [1 per cell]
Li (0.489, 0.567, 0.256) [1 per cell]
Li (0.499, 0.567, 0.757) [1 per cell]
Li (0.711, 0.392, 0.989) [1 per cell]
Li (0.714, 0.391, 0.491) [1 per cell]
Li (0.737, 0.925, 0.269) [1 per cell]
Li (0.737, 0.927, 0.768) [1 per cell]
Co (0.483, 0.016, 0.006) [1 per cell]
Co (0.483, 0.016, 0.506) [1 per cell]
Co (0.976, 0.543, 0.249) [1 per cell]
Co (0.984, 0.550, 0.751) [1 per cell]
P (0.229, 0.875, 0.241) [1 per cell]
P (0.231, 0.875, 0.741) [1 per cell]
P (0.732, 0.692, 0.017) [1 per cell]
P (0.733, 0.692, 0.516) [1 per cell]
C (0.215, 0.324, 0.527) [1 per cell]
C (0.220, 0.326, 0.028) [1 per cell]
C (0.716, 0.242, 0.731) [1 per cell]
C (0.717, 0.242, 0.231) [1 per cell]
O (0.038, 0.974, 0.291) [1 per cell]
O (0.039, 0.972, 0.791) [1 per cell]
O (0.200, 0.439, 0.621) [1 per cell]
O (0.211, 0.442, 0.123) [1 per cell]
O (0.216, 0.348, 0.400) [1 per cell]
O (0.220, 0.350, 0.902) [1 per cell]
O (0.226, 0.705, 0.283) [1 per cell]
O (0.231, 0.705, 0.783) [1 per cell]
O (0.234, 0.180, 0.565) [1 per cell]
O (0.235, 0.182, 0.066) [1 per cell]
O (0.248, 0.869, 0.081) [1 per cell]
O (0.249, 0.868, 0.581) [1 per cell]
O (0.423, 0.966, 0.303) [1 per cell]
O (0.424, 0.967, 0.804) [1 per cell]
O (0.539, 0.595, 0.967) [1 per cell]
O (0.540, 0.595, 0.465) [1 per cell]
O (0.698, 0.127, 0.136) [1 per cell]
O (0.699, 0.127, 0.635) [1 per cell]
O (0.718, 0.219, 0.357) [1 per cell]
O (0.719, 0.217, 0.857) [1 per cell]
O (0.732, 0.862, 0.974) [1 per cell]
O (0.733, 0.862, 0.475) [1 per cell]
O (0.734, 0.386, 0.693) [1 per cell]
O (0.738, 0.385, 0.192) [1 per cell]
O (0.749, 0.698, 0.676) [1 per cell]
O (0.751, 0.700, 0.176) [1 per cell]
O (0.924, 0.598, 0.954) [1 per cell]
O (0.926, 0.599, 0.454) [1 per cell]

Main lines, in order of falling intensity (2θ from 5° to 70°):
Position (°2θ)	I/Imax	(hkl)
17.3	100	1 1 0
35.1	73	2 -2 0
22.9	49	1 0 2
25.9	37	-1 1 2
24.5	28	1 1 -2
10.3	28	0 1 0
30.0	25	1 -2 2
25.1	23	1 2 0
35.0	23	0 3 -2
36.8	21	0 0 4